Starting from a structure optimized by DFT (GGA-PBE), the powder XRD pattern of DyHo2TmSe5 was calculated for Cu Kα (λ = 1.5418 Å).
Kinematic intensities with the Lorentz-polarization factor, no thermal factor.

Top 10 peaks for 15° ≤ 2θ ≤ 90°, low angle first:
- 24.16 deg, d = 3.684 Å, rel. 20, hkl 1 0 2
- 24.73 deg, d = 3.600 Å, rel. 100, hkl 1 1 0
- 30.66 deg, d = 2.916 Å, rel. 38, hkl 1 0 3
- 35.26 deg, d = 2.546 Å, rel. 82, hkl 2 0 0
- 35.47 deg, d = 2.531 Å, rel. 44, hkl 1 1 3
- 38.07 deg, d = 2.363 Å, rel. 45, hkl 1 0 4
- 47.40 deg, d = 1.918 Å, rel. 23, hkl 2 1 3
- 50.72 deg, d = 1.800 Å, rel. 29, hkl 2 2 0
- 52.86 deg, d = 1.732 Å, rel. 35, hkl 2 1 4
- 57.22 deg, d = 1.610 Å, rel. 20, hkl 3 1 0

Crystal structure
a b c (Å): 5.091 5.091 10.674
angles (deg): 90.00 90.00 90.00
Fractional coordinates of all 9 atoms:
Dy (0.000, 0.000, 0.000)
Ho (0.500, 0.500, 0.340)
Ho (0.500, 0.500, 0.660)
Tm (0.000, 0.000, 0.500)
Se (0.000, 0.000, 0.248)
Se (0.000, 0.000, 0.752)
Se (0.000, 0.500, 0.500)
Se (0.500, 0.000, 0.500)
Se (0.500, 0.500, 0.000)